Diffraction record for Ta2Mn3O8. The powder diffractogram is calculated, not measured: it uses a DFT-relaxed cell (PBE+U, the Materials Project) and Cu Kα.
Intensities are scaled so that the largest is 100.

Atomic structure:
```
52
Lattice="-5.7061 5.7061 4.9738 5.7061 -5.7061 4.9738 5.7061 5.7061 -4.9738" Properties=species:S:1:pos:R:3 pbc="T T T"
Ta 2.2363 1.9844 -1.1987
Ta 4.8375 0.6167 1.2882
Ta 3.4698 -1.9844 3.7751
Ta 4.8375 6.3228 -1.2882
Ta 0.8686 -0.6167 6.2619
Ta 2.2363 7.6905 1.1987
Ta 0.8686 5.0894 3.6856
Ta 3.4698 3.7217 6.1725
Mn 1.2882 -0.5182 0.9435
Mn 5.7061 2.8531 -1.2434
Mn 8.0409 1.5648 1.5434
Mn 1.2882 5.1879 -0.9435
Mn 0.0000 2.8531 1.2434
Mn 2.3348 1.5648 3.4304
Mn 3.3713 4.1413 1.5434
Mn 5.7061 2.8531 3.7303
Mn 4.4179 0.5182 5.9173
Mn -2.3348 4.1413 3.4304
Mn 0.0000 2.8531 6.2172
Mn 4.4179 6.2243 4.0303
O 7.3843 -2.4185 2.3028
O 7.3843 3.2876 -2.3028
O 3.3240 0.8608 -0.0449
O 6.1406 1.1749 -0.1841
O 0.5952 1.3793 -0.3243
O 9.1716 2.1405 -0.0452
O 3.7138 -0.4709 2.4420
O 3.7138 5.2352 -2.4420
O 6.4187 0.6124 2.4417
O 2.2406 3.5656 -0.0452
O 0.7126 0.6124 2.5321
O 5.1109 -1.3793 4.6495
O 5.2716 4.5313 -0.1841
O 4.2323 2.2578 2.1626
O 2.3821 -0.8608 4.9289
O -1.4738 2.2578 2.8112
O 7.1799 3.4483 2.1626
O 3.3240 6.5669 0.0449
O 1.4738 3.4483 2.8112
O 0.4345 1.1749 5.1579
O 0.5952 7.0854 0.3243
O 4.9935 5.0937 2.4417
O 3.4655 2.1405 5.0190
O -0.7126 5.0937 2.5321
O 1.9923 0.4709 7.4158
O 1.9923 6.1770 2.5318
O -3.4655 3.5656 5.0190
O 5.1109 4.3268 5.2981
O -0.4345 4.5313 5.1579
O 2.3821 4.8454 5.0187
O -1.6782 2.4185 7.2766
O -1.6782 8.1246 2.6710
```

Largest 8 diffraction maxima, sorted by position, 15° ≤ 2θ ≤ 90°:
2θ = 19.5°, intensity 39; 2θ = 25.1°, intensity 11; 2θ = 30.6°, intensity 100; 2θ = 35.2°, intensity 23; 2θ = 48.4°, intensity 11; 2θ = 50.6°, intensity 11; 2θ = 51.3°, intensity 27; 2θ = 60.3°, intensity 20

=====

Diffraction record for MgTi2Tl2W2O10F2. The powder diffractogram is calculated, not measured: it uses a DFT-relaxed cell (PBE+U, the Materials Project) and Cu Kα.
Intensities are scaled so that the largest is 100.

Atomic structure:
```
19
Lattice="7.3071 0.0000 0.0000 -3.5375 6.4159 0.0000 -3.2851 -2.3822 6.3924" Properties=species:S:1:pos:R:3 pbc="T T T"
Mg 0.0000 0.0000 0.0000
Ti -1.2569 0.7345 2.4537
Ti 0.8508 -0.5070 5.1945
Tl 0.7563 3.8568 0.5362
Tl 1.8080 2.8277 4.3381
W -3.0191 3.9223 1.9364
W 2.4416 0.6386 1.8655
O -1.6354 2.4830 2.3706
O -3.0577 4.5229 3.7086
O 0.4882 1.1910 1.4517
O -1.5969 5.2681 1.3689
O -0.2797 -1.4119 6.3346
O 1.8567 0.5043 3.8030
O 2.7738 2.5752 2.2301
O 4.3174 0.1878 2.3442
O 4.3206 3.2934 0.0254
O 2.9009 5.3384 1.3845
F -0.8496 0.4761 4.3092
F 2.4996 -1.4817 5.6675
```

Largest 8 diffraction maxima, sorted by position, 15° ≤ 2θ ≤ 90°:
2θ = 22.5°, intensity 36; 2θ = 26.6°, intensity 42; 2θ = 27.3°, intensity 32; 2θ = 27.7°, intensity 49; 2θ = 28.1°, intensity 100; 2θ = 29.3°, intensity 33; 2θ = 29.7°, intensity 75; 2θ = 33.0°, intensity 27

=====

Diffraction record for Cs2VS5O. The powder diffractogram is calculated, not measured: it uses a DFT-relaxed cell (PBE+U, the Materials Project) and Cu Kα.
Intensities are scaled so that the largest is 100.

Atomic structure:
```
36
Lattice="7.6528 0.0000 0.0000 0.0000 10.6733 0.0000 -5.0183 0.0000 13.2482" Properties=species:S:1:pos:R:3 pbc="T T T"
Cs -1.2874 0.3003 3.4696
Cs -3.7965 5.0364 10.0937
Cs 0.6657 2.5425 7.6703
Cs 3.1749 2.7941 1.0462
Cs -0.5404 7.8792 12.2019
Cs 1.9687 8.1308 5.5778
Cs 6.4310 5.6369 3.1545
Cs 3.9218 10.3730 9.7786
V -1.1519 7.4321 8.1935
V 1.3573 8.5779 1.5694
V 1.2772 2.0954 11.6787
V 3.7864 3.2412 5.0546
S -4.4990 7.7432 12.7805
S -1.9898 8.2667 6.1565
S 0.8479 0.0423 0.6302
S -1.6613 5.2943 7.2542
S 1.5722 6.3620 0.6791
S -0.9370 9.6480 7.3032
S -0.8391 2.5423 10.8086
S 1.6701 2.7944 4.1845
S -0.2434 0.5757 10.5488
S 2.2658 4.7610 3.9248
S 0.3687 5.9123 9.3234
S 2.8778 10.0976 2.6993
S 0.9644 7.8789 9.0636
S 3.4735 8.1310 2.4395
S 3.5715 1.0253 5.9450
S 1.0623 4.3113 12.5691
S 4.2958 5.3789 5.9939
S 1.7866 10.6310 12.6180
S 4.6243 2.4066 7.0917
S 7.1335 2.9301 0.4676
O -2.2734 7.6828 9.3872
O 0.2357 8.3271 2.7632
O 2.3987 2.3462 10.4850
O 4.9079 2.9905 3.8609
```

Largest 8 diffraction maxima, sorted by position, 15° ≤ 2θ ≤ 90°:
2θ = 20.8°, intensity 100; 2θ = 21.3°, intensity 45; 2θ = 21.4°, intensity 49; 2θ = 24.9°, intensity 32; 2θ = 25.3°, intensity 47; 2θ = 29.1°, intensity 38; 2θ = 34.1°, intensity 31; 2θ = 36.6°, intensity 34

=====

Diffraction record for Li4V3OF11. The powder diffractogram is calculated, not measured: it uses a DFT-relaxed cell (PBE+U, the Materials Project) and Cu Kα.
Intensities are scaled so that the largest is 100.

Atomic structure:
```
19
Lattice="5.7161 0.0000 0.0000 -0.7626 6.0164 0.0000 -1.1733 -1.3361 6.1326" Properties=species:S:1:pos:R:3 pbc="T T T"
Li 0.0000 0.0000 0.0000
Li 0.1490 0.7783 3.6256
Li 1.0733 4.8229 4.7068
Li 2.7614 1.6459 5.0914
V 1.2362 3.4210 0.8298
V 3.0378 0.9576 1.7547
V 4.0046 3.8243 2.9825
O 2.9256 2.9590 1.6481
F -0.5005 3.9414 0.0737
F -0.8723 4.9851 4.4787
F 0.2390 3.6813 2.5587
F 1.0310 1.3990 1.1277
F 0.7657 1.7876 5.1823
F 1.6748 5.3888 0.6396
F 2.0612 0.3318 3.3712
F 2.5887 3.7704 4.3018
F 2.8853 -0.1242 6.1036
F 4.6202 -0.3379 2.1185
F 4.1998 1.8025 3.4220
```

Largest 8 diffraction maxima, sorted by position, 15° ≤ 2θ ≤ 90°:
2θ = 19.2°, intensity 100; 2θ = 23.8°, intensity 67; 2θ = 25.0°, intensity 57; 2θ = 30.2°, intensity 53; 2θ = 30.8°, intensity 52; 2θ = 31.3°, intensity 38; 2θ = 52.0°, intensity 47; 2θ = 54.0°, intensity 55

=====

Diffraction record for Li3Mn2O5. The powder diffractogram is calculated, not measured: it uses a DFT-relaxed cell (PBE+U, the Materials Project) and Cu Kα.
Intensities are scaled so that the largest is 100.

Atomic structure:
```
20
Lattice="2.9756 0.0000 0.0000 -0.9028 7.7922 0.0000 -0.0579 -2.1355 7.9343" Properties=species:S:1:pos:R:3 pbc="T T T"
Li 0.0000 0.0000 0.0000
Li -0.0290 -1.0678 3.9672
Li 0.0624 2.7329 0.7365
Li 0.4265 4.7040 5.7154
Li 1.5883 0.9527 2.2189
Li 1.9525 2.9238 7.1978
Mn 0.1467 1.8023 4.7386
Mn 0.5266 5.8838 1.5378
Mn 1.4882 -0.2271 6.3965
Mn 1.8681 3.8543 3.1957
O -0.0058 -1.4303 6.0047
O 0.0143 1.1035 6.6148
O 0.1351 2.3925 2.8442
O 0.4644 4.1310 7.6769
O 0.5798 5.2607 3.4638
O 1.4351 0.3960 4.4705
O 1.5505 1.5256 0.2575
O 1.8797 3.2642 5.0902
O 2.0005 4.5531 1.3195
O 2.0206 7.0869 1.9296
```

Largest 8 diffraction maxima, sorted by position, 15° ≤ 2θ ≤ 90°:
2θ = 18.2°, intensity 100; 2θ = 34.4°, intensity 14; 2θ = 36.1°, intensity 11; 2θ = 36.5°, intensity 12; 2θ = 41.1°, intensity 34; 2θ = 44.1°, intensity 28; 2θ = 44.5°, intensity 28; 2θ = 64.7°, intensity 10

=====

Diffraction record for LiFeF4. The powder diffractogram is calculated, not measured: it uses a DFT-relaxed cell (PBE+U, the Materials Project) and Cu Kα.
Intensities are scaled so that the largest is 100.

Atomic structure:
```
24
Lattice="7.7037 -1.9642 0.0000 7.7037 1.9642 0.0000 -6.4497 0.0000 10.7636" Properties=species:S:1:pos:R:3 pbc="T T T"
Li 0.3244 0.0000 3.4712
Li -0.6857 0.0000 9.0144
Li 9.6433 0.0000 1.7493
Li 8.6332 0.0000 7.2924
Fe 3.2510 0.0000 3.8851
Fe 6.3023 0.0000 1.4343
Fe 2.6553 0.0000 9.3293
Fe 5.7066 0.0000 6.8785
F -5.2439 0.0000 9.0855
F -1.9762 0.0000 7.0563
F 2.0866 0.0000 2.3039
F 1.6662 0.0000 4.9073
F 5.1050 0.0000 0.0140
F 1.1374 0.0000 8.0087
F 4.9097 0.0000 2.7905
F 7.7037 0.0000 0.0000
F 4.4788 0.0000 5.3818
F 4.0480 0.0000 7.9732
F 7.8202 0.0000 2.7549
F 3.8526 0.0000 10.7497
F 7.2914 0.0000 5.8563
F 6.8710 0.0000 8.4597
F 10.9339 0.0000 3.7074
F 14.2015 0.0000 1.6781
```

Largest 8 diffraction maxima, sorted by position, 15° ≤ 2θ ≤ 90°:
2θ = 19.0°, intensity 78; 2θ = 21.3°, intensity 63; 2θ = 23.6°, intensity 100; 2θ = 25.6°, intensity 38; 2θ = 26.2°, intensity 28; 2θ = 32.2°, intensity 38; 2θ = 46.0°, intensity 44; 2θ = 46.2°, intensity 35

=====

Diffraction record for Sr2MgCrSbO6. The powder diffractogram is calculated, not measured: it uses a DFT-relaxed cell (PBE+U, the Materials Project) and Cu Kα.
Intensities are scaled so that the largest is 100.

Atomic structure:
```
11
Lattice="5.1982 -2.9163 0.0000 5.1982 2.9163 0.0000 -2.8848 0.0000 5.1224" Properties=species:S:1:pos:R:3 pbc="T T T"
Sr 1.4733 0.0000 0.9269
Sr 6.0383 0.0000 4.1955
Mg 3.7558 0.0000 2.5612
Cr -1.4424 0.0000 2.5612
Sb 5.1982 0.0000 0.0000
O 3.9780 1.4484 1.1866
O 0.7302 0.0000 3.2923
O 3.5336 1.4484 3.9357
O 3.9780 -1.4484 1.1866
O 6.7814 0.0000 1.8301
O 3.5336 -1.4484 3.9357
```

Largest 8 diffraction maxima, sorted by position, 15° ≤ 2θ ≤ 90°:
2θ = 28.3°, intensity 100; 2θ = 30.1°, intensity 96; 2θ = 30.5°, intensity 71; 2θ = 30.7°, intensity 79; 2θ = 33.4°, intensity 67; 2θ = 43.8°, intensity 96; 2θ = 44.0°, intensity 41; 2θ = 63.9°, intensity 30

=====

Diffraction record for V2Zn2O7. The powder diffractogram is calculated, not measured: it uses a DFT-relaxed cell (PBE+U, the Materials Project) and Cu Kα.
Intensities are scaled so that the largest is 100.

Atomic structure:
```
11
Lattice="3.2487 -4.3423 0.0000 3.2487 4.3423 0.0000 -1.2100 0.0000 4.9331" Properties=species:S:1:pos:R:3 pbc="T T T"
V 1.1020 0.0000 1.9503
V 4.1853 0.0000 2.9828
Zn 3.2487 1.6063 0.0000
Zn 3.2487 -1.6063 0.0000
O -0.6050 0.0000 2.4666
O 1.1942 1.4544 1.0157
O 1.1942 -1.4544 1.0157
O 1.9104 0.0000 3.5631
O 3.3769 0.0000 1.3701
O 4.0931 1.4544 3.9174
O 4.0931 -1.4544 3.9174
```

Largest 8 diffraction maxima, sorted by position, 15° ≤ 2θ ≤ 90°:
2θ = 17.4°, intensity 16; 2θ = 27.4°, intensity 100; 2θ = 29.8°, intensity 34; 2θ = 34.1°, intensity 11; 2θ = 35.2°, intensity 13; 2θ = 37.3°, intensity 11; 2θ = 43.8°, intensity 13; 2θ = 53.4°, intensity 22